Theoretical powder X-ray diffraction pattern of Ni3AgP3H2O12 for Cu Ka, from a structure optimized by DFT (PBE+U).
No peak broadening, texture or thermal motion is included.

Crystal structure
```
data_Ni3AgP3H2O12
_chemical_formula_sum 'Ni12 Ag4 P12 H8 O48'
_space_group_name_H-M_alt 'C 1 2/c 1'
_space_group_IT_number 15
_cell_length_a 11.9589
_cell_length_b 12.1919
_cell_length_c 6.5139
_cell_angle_alpha 90.00
_cell_angle_beta 113.88
_cell_angle_gamma 90.00
loop_
_space_group_symop_operation_xyz
'x,y,z'
'-x,-y,-z'
'-x,y,-z+1/2'
'x,-y,z+1/2'
'x+1/2,y+1/2,z'
'-x+1/2,-y+1/2,-z'
'-x+1/2,y+1/2,-z+1/2'
'x+1/2,-y+1/2,z+1/2'
loop_
_atom_site_label
_atom_site_type_symbol
_atom_site_fract_x
_atom_site_fract_y
_atom_site_fract_z
Ni1 Ni 0.0000 0.2245 0.2500
Ni2 Ni 0.2126 0.3371 0.1233
Ag1 Ag 0.0000 0.4606 0.7500
P1 P 0.0000 0.1812 0.7500
P2 P 0.2216 0.3873 0.6128
H1 H 0.1153 0.0070 0.3085
O1 O 0.0353 0.2555 0.9637
O2 O 0.1080 0.1056 0.7663
O3 O 0.1381 0.0931 0.3435
O4 O 0.1574 0.3268 0.3865
O5 O 0.1624 0.4995 0.1037
O6 O 0.2178 0.3189 0.8085
```

Principal peaks in the range 5 to 70 degrees two-theta, in order of falling intensity:
hkl 1 1 0, 10.87 deg, intensity 100; hkl 3 3 0, 33.01 deg, intensity 71; hkl 2 4 0, 33.66 deg, intensity 48; hkl 1 3 -2, 35.55 deg, intensity 36; hkl 1 3 1, 29.56 deg, intensity 35; hkl 4 0 -2, 34.40 deg, intensity 35; hkl 3 7 1, 63.82 deg, intensity 32; hkl 3 1 -2, 31.00 deg, intensity 31; hkl 4 0 0, 32.76 deg, intensity 29; hkl 0 0 2, 30.01 deg, intensity 28; hkl 1 1 2, 35.06 deg, intensity 25; hkl 5 1 0, 41.97 deg, intensity 24